1.
For Ca2InAg4, the GGA-PBE geometry in Alexandria gives the calculated X-ray powder pattern in this record (λ = 1.5418 Å (Cu Kα)).
Lines closer than 0.1° are merged.

Largest 8 diffraction maxima, by angle, 2θ = 10–90°:
11.3 deg, rel. 68; 19.0 deg, rel. 70; 22.2 deg, rel. 61; 34.1 deg, rel. 96; 36.7 deg, rel. 100; 38.5 deg, rel. 58; 44.0 deg, rel. 46; 51.2 deg, rel. 35

Cell and atoms:
```
Ca2InAg4
1.0
0.0000 4.6767 7.8052
2.8760 0.0000 7.8052
2.8760 4.6767 0.0000
Ca In Ag
2 1 4
direct
0.1161 0.1161 0.8839 Ca
0.8839 0.8839 0.1161 Ca
0.5000 0.5000 0.5000 In
0.0000 0.0000 0.5000 Ag
0.3088 0.3088 0.6912 Ag
0.5000 0.5000 0.0000 Ag
0.6912 0.6912 0.3088 Ag
```

=====

2.
For Zr3W5, the GGA-PBE geometry in Alexandria gives the calculated X-ray powder pattern in this record (λ = 1.5418 Å (Cu Kα)).
Lines closer than 0.1° are merged.

Largest 8 diffraction maxima, by angle, 2θ = 10–90°:
38.3 deg, rel. 26; 38.4 deg, rel. 100; 38.8 deg, rel. 25; 55.7 deg, rel. 17; 69.3 deg, rel. 8; 69.4 deg, rel. 18; 70.0 deg, rel. 17; 82.3 deg, rel. 11

Cell and atoms:
```
Zr3W5
1.0
6.6476 0.0000 0.0000
0.0000 9.3942 0.0000
0.0000 0.0000 4.6402
Zr W
6 10
direct
0.0000 0.0000 0.0000 Zr
0.0000 0.2475 0.5000 Zr
0.0000 0.7525 0.5000 Zr
0.5000 0.2525 0.5000 Zr
0.5000 0.5000 0.0000 Zr
0.5000 0.7475 0.5000 Zr
0.0000 0.5000 0.0000 W
0.2311 0.5000 0.5000 W
0.2500 0.2500 0.0000 W
0.2500 0.7500 0.0000 W
0.2689 0.0000 0.5000 W
0.5000 0.0000 0.0000 W
0.7311 0.0000 0.5000 W
0.7500 0.2500 0.0000 W
0.7500 0.7500 0.0000 W
0.7689 0.5000 0.5000 W
```

=====

3.
For LuSi, the GGA-PBE geometry in Alexandria gives the calculated X-ray powder pattern in this record (λ = 1.5418 Å (Cu Kα)).
Lines closer than 0.1° are merged.

Largest 8 diffraction maxima, by angle, 2θ = 10–90°:
23.0 deg, rel. 40; 29.4 deg, rel. 67; 33.2 deg, rel. 100; 33.8 deg, rel. 52; 34.9 deg, rel. 30; 41.7 deg, rel. 30; 53.3 deg, rel. 26; 55.4 deg, rel. 24

Cell and atoms:
```
LuSi
1.0
4.1715 0.0000 0.0000
0.0000 10.2927 0.0000
0.0000 0.0000 3.7667
Lu Si
4 4
direct
0.0000 0.1402 0.2500 Lu
0.0000 0.8598 0.7500 Lu
0.5000 0.3598 0.7500 Lu
0.5000 0.6402 0.2500 Lu
0.0000 0.4213 0.2500 Si
0.0000 0.5787 0.7500 Si
0.5000 0.0787 0.7500 Si
0.5000 0.9213 0.2500 Si
```

=====

4.
For Pm3Pr5Nd, the GGA-PBE geometry in Alexandria gives the calculated X-ray powder pattern in this record (λ = 1.5418 Å (Cu Kα)).
Lines closer than 0.1° are merged.

Largest 8 diffraction maxima, by angle, 2θ = 10–90°:
28.3 deg, rel. 68; 29.0 deg, rel. 100; 29.7 deg, rel. 39; 30.0 deg, rel. 56; 30.4 deg, rel. 97; 33.2 deg, rel. 82; 34.2 deg, rel. 43; 34.9 deg, rel. 30

Cell and atoms:
```
Pm3Pr5Nd
1.0
10.4251 -3.1641 0.0000
10.4251 3.1641 0.0000
-6.2598 0.0000 9.9583
Pm Pr Nd
6 10 2
direct
0.0000 0.0000 0.0000 Pm
0.0000 0.0000 0.5000 Pm
0.0530 0.5914 0.9726 Pm
0.4086 0.9470 0.5274 Pm
0.5914 0.0530 0.4726 Pm
0.9470 0.4086 0.0274 Pm
0.0196 0.6231 0.6634 Pr
0.1733 0.5443 0.3469 Pr
0.3769 0.9804 0.8366 Pr
0.4134 0.5866 0.7500 Pr
0.4557 0.8267 0.1531 Pr
0.5443 0.1733 0.8469 Pr
0.5866 0.4134 0.2500 Pr
0.6231 0.0196 0.1634 Pr
0.8267 0.4557 0.6531 Pr
0.9804 0.3769 0.3366 Pr
0.1040 0.8960 0.2500 Nd
0.8960 0.1040 0.7500 Nd
```

=====

5.
For PuNpSi, the GGA-PBE geometry in Alexandria gives the calculated X-ray powder pattern in this record (λ = 1.5418 Å (Cu Kα)).
Lines closer than 0.1° are merged.

Largest 8 diffraction maxima, by angle, 2θ = 10–90°:
22.3 deg, rel. 69; 30.3 deg, rel. 33; 37.9 deg, rel. 90; 39.1 deg, rel. 100; 50.2 deg, rel. 51; 55.6 deg, rel. 31; 67.7 deg, rel. 25; 70.1 deg, rel. 31

Cell and atoms:
```
PuNpSi
1.0
4.6084 0.0000 0.0000
-2.3042 3.9910 0.0000
0.0000 0.0000 2.9518
Pu Np Si
1 1 1
direct
0.0000 0.0000 0.0000 Pu
0.6667 0.3333 0.8044 Np
0.3333 0.6667 0.3563 Si
```